Diffraction record for K4Pa3NbO12. The X-ray diffraction stick pattern is simulated, not measured: it uses a DFT-relaxed cell (PBE, Alexandria) and Cu Kα.

Cell and atoms:
a b c (Å): 7.458 7.458 7.458
angles (deg): 109.47 109.47 109.47
Fractional coordinates of all 20 atoms:
1 K 0.000 0.000 0.500
2 K 0.000 0.500 0.000
3 K 0.500 0.000 0.000
4 K 0.500 0.500 0.500
5 Pa 0.000 0.500 0.500
6 Pa 0.500 0.000 0.500
7 Pa 0.500 0.500 0.000
8 Nb 0.000 0.000 0.000
9 O 0.000 0.239 0.239
10 O 0.000 0.761 0.761
11 O 0.239 0.000 0.239
12 O 0.239 0.239 0.000
13 O 0.250 0.500 0.750
14 O 0.250 0.750 0.500
15 O 0.500 0.250 0.750
16 O 0.500 0.750 0.250
17 O 0.750 0.250 0.500
18 O 0.750 0.500 0.250
19 O 0.761 0.000 0.761
20 O 0.761 0.761 0.000

The 10 most intense peaks (10° ≤ 2θ ≤ 90°), sorted by position:
6.089 Å, rel. 10
4.306 Å, rel. 71
3.045 Å, rel. 100
2.153 Å, rel. 32
1.926 Å, rel. 34
1.758 Å, rel. 41
1.522 Å, rel. 20
1.435 Å, rel. 17
1.362 Å, rel. 18
1.151 Å, rel. 22